This entry pairs a crystal structure of CaAcNiRh with its simulated X-ray diffraction stick pattern. Radiation: a wavelength of 1.5418 Å. Structure: a crystal structure in Alexandria, relaxed with PBE.

Peak list (10 most intense, 2θ = 10–90°, sorted by position)
2theta	d/Å	intensity
16.4	5.419	32
20.8	4.280	39
22.8	3.899	33
31.0	2.882	100
32.8	2.733	54
39.1	2.303	71
39.4	2.289	36
42.2	2.140	25
43.3	2.089	24
54.5	1.685	26

abc: 4.2797 5.8081 5.8081
angles: 42.17 90.00 90.00
Fractional positions:
Ca1 0.0000 0.0000 0.0000
Ac1 0.5000 0.7184 0.7184
Ni1 0.0000 0.3003 0.3003
Rh1 0.5000 0.4280 0.4280